(1)
Starting from DFT lattice parameters and positions (PBE), the X-ray powder pattern of Zn2AgAu was simulated for Cu Kα (λ = 1.5418 Å).
Kinematic intensities with the Lorentz-polarization factor, no thermal factor.

Structure:
```
Zn2AgAu
1.0
0.0000 3.1906 3.1906
3.1906 0.0000 3.1906
3.1906 3.1906 0.0000
Zn Ag Au
2 1 1
direct
0.2500 0.2500 0.2500
0.7500 0.7500 0.7500
0.0000 0.0000 0.0000
0.5000 0.5000 0.5000
```

Principal peaks in the range 15° ≤ 2θ ≤ 90°, in order of rising 2θ:
| Position (°2θ) | Rel. int. |
| --- | --- |
| 24.16 | 8 |
| 27.96 | 17 |
| 39.96 | 100 |
| 47.24 | 5 |
| 49.48 | 5 |
| 57.80 | 17 |
| 63.55 | 2 |
| 65.41 | 7 |
| 72.58 | 33 |
| 86.22 | 11 |

---

(2)
Starting from DFT lattice parameters and positions (PBE), the X-ray powder pattern of NaYF4 was simulated for Cu Kα (λ = 1.5418 Å).
Kinematic intensities with the Lorentz-polarization factor, no thermal factor.

Structure:
```
NaYF4
1.0
-2.7490 2.7490 5.4115
2.7490 -2.7490 5.4115
2.7490 2.7490 -5.4115
Na Y F
2 2 8
direct
0.3750 0.6250 0.7500
0.6250 0.3750 0.2500
0.1250 0.8750 0.2500
0.8750 0.1250 0.7500
0.0000 0.2310 0.2310
0.0000 0.7690 0.7690
0.2310 0.0000 0.7310
0.2310 0.5000 0.2310
0.5000 0.2310 0.7310
0.5000 0.7690 0.2690
0.7690 0.0000 0.2690
0.7690 0.5000 0.7690
```

Principal peaks in the range 15° ≤ 2θ ≤ 90°, in order of rising 2θ:
| Position (°2θ) | Rel. int. |
| --- | --- |
| 18.10 | 61 |
| 28.27 | 100 |
| 29.62 | 12 |
| 37.51 | 12 |
| 46.73 | 32 |
| 47.13 | 62 |
| 55.52 | 28 |
| 56.24 | 17 |
| 76.04 | 12 |
| 87.07 | 16 |

---

(3)
Starting from DFT lattice parameters and positions (PBE), the X-ray powder pattern of GdAlGa was simulated for Cu Kα (λ = 1.5418 Å).
Kinematic intensities with the Lorentz-polarization factor, no thermal factor.

Structure:
```
GdAlGa
1.0
4.4499 0.0000 0.0000
-2.2250 3.8537 0.0000
0.0000 0.0000 3.7145
Gd Al Ga
1 1 1
direct
0.0000 0.0000 0.0000
0.3333 0.6667 0.5000
0.6667 0.3333 0.5000
```

Principal peaks in the range 15° ≤ 2θ ≤ 90°, in order of rising 2θ:
| Position (°2θ) | Rel. int. |
| --- | --- |
| 23.08 | 36 |
| 33.51 | 100 |
| 40.55 | 44 |
| 49.05 | 8 |
| 53.58 | 26 |
| 54.87 | 7 |
| 65.46 | 21 |
| 69.29 | 24 |
| 73.76 | 7 |
| 81.68 | 8 |

---

(4)
Starting from DFT lattice parameters and positions (PBE), the X-ray powder pattern of Cs2Sb4S7 was simulated for Cu Kα (λ = 1.5418 Å).
Kinematic intensities with the Lorentz-polarization factor, no thermal factor.

Structure:
```
Cs2Sb4S7
1.0
11.5967 0.0000 0.0000
0.0000 12.4929 0.0000
-2.0919 0.0000 11.9750
Cs Sb S
8 16 28
direct
0.0191 0.0707 0.1714
0.0191 0.4293 0.6714
0.4526 0.5449 0.8057
0.4526 0.9551 0.3057
0.5474 0.0449 0.6943
0.5474 0.4551 0.1943
0.9809 0.5707 0.3286
0.9809 0.9293 0.8286
0.1533 0.1453 0.5888
0.1533 0.3547 0.0888
0.2005 0.6430 0.0516
0.2005 0.8570 0.5516
0.2941 0.1411 0.9475
0.2941 0.3589 0.4475
0.3609 0.6593 0.4246
0.3609 0.8407 0.9246
0.6391 0.1593 0.0754
0.6391 0.3407 0.5754
0.7059 0.6411 0.5525
0.7059 0.8589 0.0525
0.7995 0.1430 0.4484
0.7995 0.3570 0.9484
0.8467 0.6453 0.9112
0.8467 0.8547 0.4112
0.0968 0.2046 0.9009
0.0968 0.2954 0.4009
0.1962 0.0241 0.4387
0.1962 0.4759 0.9387
0.2012 0.7285 0.8404
0.2012 0.7715 0.3404
0.2452 0.5051 0.2220
0.2452 0.9949 0.7220
0.2615 0.5343 0.5400
0.2615 0.9657 0.0400
0.3306 0.2402 0.1332
0.3306 0.2598 0.6332
0.4084 0.7056 0.0820
0.4084 0.7944 0.5820
0.5916 0.2056 0.4180
0.5916 0.2944 0.9180
0.6694 0.7402 0.3668
0.6694 0.7598 0.8668
0.7385 0.0343 0.9600
0.7385 0.4657 0.4600
0.7548 0.0051 0.2780
0.7548 0.4949 0.7780
0.7988 0.2285 0.6596
0.7988 0.2715 0.1596
0.8038 0.5241 0.0613
0.8038 0.9759 0.5613
0.9032 0.7046 0.5991
0.9032 0.7954 0.0991
```

Principal peaks in the range 15° ≤ 2θ ≤ 90°, in order of rising 2θ:
| Position (°2θ) | Rel. int. |
| --- | --- |
| 23.30 | 76 |
| 23.42 | 86 |
| 23.50 | 56 |
| 24.34 | 100 |
| 27.35 | 39 |
| 29.09 | 35 |
| 30.26 | 31 |
| 31.05 | 32 |
| 32.99 | 51 |
| 33.67 | 30 |

---

(5)
Starting from DFT lattice parameters and positions (PBE), the X-ray powder pattern of Zr5Sb3C was simulated for Cu Kα (λ = 1.5418 Å).
Kinematic intensities with the Lorentz-polarization factor, no thermal factor.

Structure:
```
Zr5Sb3C
1.0
8.4465 0.0000 0.0000
-4.2233 7.3149 0.0000
0.0000 0.0000 5.8904
Zr Sb C
10 6 2
direct
0.0000 0.2198 0.2500
0.0000 0.7802 0.7500
0.2198 0.0000 0.2500
0.2198 0.2198 0.7500
0.3333 0.6667 0.0000
0.3333 0.6667 0.5000
0.6667 0.3333 0.0000
0.6667 0.3333 0.5000
0.7802 0.0000 0.7500
0.7802 0.7802 0.2500
0.0000 0.4049 0.7500
0.0000 0.5951 0.2500
0.4049 0.0000 0.7500
0.4049 0.4049 0.2500
0.5951 0.0000 0.2500
0.5951 0.5951 0.7500
0.0000 0.0000 0.0000
0.0000 0.0000 0.5000
```

Principal peaks in the range 15° ≤ 2θ ≤ 90°, in order of rising 2θ:
| Position (°2θ) | Rel. int. |
| --- | --- |
| 30.35 | 19 |
| 32.38 | 26 |
| 35.88 | 100 |
| 36.86 | 23 |
| 37.22 | 55 |
| 39.28 | 13 |
| 45.64 | 14 |
| 47.39 | 12 |
| 57.58 | 25 |
| 72.08 | 22 |

---

(6)
Starting from DFT lattice parameters and positions (PBE), the X-ray powder pattern of Cs2PtF6 was simulated for Cu Kα (λ = 1.5418 Å).
Kinematic intensities with the Lorentz-polarization factor, no thermal factor.

Structure:
```
Cs2PtF6
1.0
6.3466 0.0000 0.0000
-3.1733 5.4963 0.0000
0.0000 0.0000 5.1969
Cs Pt F
2 1 6
direct
0.3333 0.6667 0.2089
0.6667 0.3333 0.7911
0.0000 0.0000 0.5000
0.1508 0.3015 0.7093
0.1508 0.8492 0.7093
0.3015 0.1508 0.2907
0.6985 0.8492 0.7093
0.8492 0.1508 0.2907
0.8492 0.6985 0.2907
```

Principal peaks in the range 15° ≤ 2θ ≤ 90°, in order of rising 2θ:
| Position (°2θ) | Rel. int. |
| --- | --- |
| 23.56 | 100 |
| 28.12 | 61 |
| 37.00 | 48 |
| 38.32 | 28 |
| 47.11 | 28 |
| 48.20 | 20 |
| 56.73 | 23 |
| 58.14 | 13 |
| 60.93 | 12 |
| 63.61 | 13 |